Starting from DFT lattice parameters and positions (GGA-PBE), the X-ray powder pattern of CuBi2RuO8 was simulated for a wavelength of 1.5418 Å.

Peak list (10 most intense, 2θ = 10–80°, low angle first)
2theta	I (rel.)	hkl
18.24	28	0 1 0
18.53	27	1 0 0
25.43	100	1 1 0
26.78	89	1 -1 0
30.82	60	1 0 2
31.04	52	0 1 2
32.97	37	0 1 -2
33.51	42	1 0 -2
36.95	27	0 2 0
37.57	21	2 0 0

Cell and atoms:
```
data_CuBi2RuO8
_cell_length_a 4.813
_cell_length_b 4.882
_cell_length_c 6.872
_cell_angle_alpha 86.16
_cell_angle_beta 84.87
_cell_angle_gamma 86.76
_symmetry_space_group_name_H-M 'P -1'
_symmetry_Int_Tables_number 2
_symmetry_space_group_name_Hall '-P 1'
loop_
_atom_site_label
_atom_site_type_symbol
_atom_site_fract_x
_atom_site_fract_y
_atom_site_fract_z
_atom_site_occupancy
Cu1 Cu 0.000 0.000 0.000 1
Bi1 Bi 0.471 0.470 0.755 1
Ru1 Ru 0.000 0.000 0.500 1
O1 O 0.165 0.125 0.738 1
O2 O 0.245 0.172 0.309 1
O3 O 0.252 0.679 0.503 1
O4 O 0.266 0.703 0.006 1
```